# 1
The following is a calculated PXRD pattern of CdHgSeO. It was derived from a PBE-relaxed structure, using Cu Kα, 1.54184 Å.
Neutral-atom scattering factors, no anomalous dispersion.

Crystal structure
```
data_CdHgSeO
_chemical_formula_sum 'Cd4 Hg4 Se4 O4'
_cell_length_a 6.8347
_cell_length_b 7.3795
_cell_length_c 7.6225
_cell_angle_alpha 90.00
_cell_angle_beta 90.00
_cell_angle_gamma 90.00
_space_group_name_H-M_alt 'P 1'
_space_group_IT_number 1
loop_
_space_group_symop_operation_xyz
'x,y,z'
loop_
_atom_site_label
_atom_site_type_symbol
_atom_site_fract_x
_atom_site_fract_y
_atom_site_fract_z
Cd1 Cd 0.0697 0.2014 0.4197
Cd2 Cd 0.4303 0.7986 0.9197
Cd3 Cd 0.5697 0.2986 0.5803
Cd4 Cd 0.9303 0.7014 0.0803
Hg1 Hg 0.0830 0.7344 0.6215
Hg2 Hg 0.4170 0.2656 0.1215
Hg3 Hg 0.5830 0.7656 0.3785
Hg4 Hg 0.9170 0.2344 0.8785
Se1 Se 0.1697 0.8564 0.3257
Se2 Se 0.3303 0.1436 0.8257
Se3 Se 0.6697 0.6436 0.6743
Se4 Se 0.8303 0.3564 0.1743
O1 O 0.1508 0.6592 0.8815
O2 O 0.3492 0.3408 0.3815
O3 O 0.6508 0.8408 0.1185
O4 O 0.8492 0.1592 0.6185
```

Largest 10 diffraction maxima, in order of falling intensity, 2θ = 10–80°:
| d/Å | I_rel | hkl |
| --- | --- | --- |
| 3.034 | 100 | 1 1 2 |
| 3.690 | 82 | 0 2 0 |
| 3.118 | 52 | 2 0 1 |
| 2.382 | 40 | 2 2 1 |
| 1.978 | 33 | 1 3 2 |
| 2.093 | 30 | 3 1 1 |
| 3.101 | 25 | 2 1 0 |
| 2.403 | 24 | 0 1 3 |
| 1.653 | 23 | 3 1 3 |
| 2.266 | 17 | 1 1 3 |

=====

# 2
The following is a calculated PXRD pattern of TbGdAl4Fe2. It was derived from a PBE-relaxed structure, using Cu Kα, 1.54184 Å.
Neutral-atom scattering factors, no anomalous dispersion.

Crystal structure
```
data_TbGdAl4Fe2
_chemical_formula_sum 'Tb2 Gd2 Al8 Fe4'
_cell_length_a 7.0703
_cell_length_b 4.0495
_cell_length_c 10.1649
_cell_angle_alpha 90.00
_cell_angle_beta 90.00
_cell_angle_gamma 90.00
_space_group_name_H-M_alt 'P 1'
_space_group_IT_number 1
loop_
_space_group_symop_operation_xyz
'x,y,z'
loop_
_atom_site_label
_atom_site_type_symbol
_atom_site_fract_x
_atom_site_fract_y
_atom_site_fract_z
Tb1 Tb 0.0000 0.0000 0.0000
Tb2 Tb 0.0000 0.5000 0.5000
Gd1 Gd 0.5000 0.0000 0.8772
Gd2 Gd 0.5000 0.5000 0.3772
Al1 Al 0.1928 0.0000 0.2805
Al2 Al 0.1928 0.5000 0.7805
Al3 Al 0.3062 0.0000 0.5967
Al4 Al 0.3062 0.5000 0.0967
Al5 Al 0.6938 0.0000 0.5967
Al6 Al 0.6938 0.5000 0.0967
Al7 Al 0.8072 0.0000 0.2805
Al8 Al 0.8072 0.5000 0.7805
Fe1 Fe 0.0000 0.0000 0.7248
Fe2 Fe 0.0000 0.5000 0.2248
Fe3 Fe 0.5000 0.0000 0.1520
Fe4 Fe 0.5000 0.5000 0.6520
```

Largest 10 diffraction maxima, in order of falling intensity, 2θ = 10–80°:
| d/Å | I_rel | hkl |
| --- | --- | --- |
| 2.576 | 100 | 2 1 1 |
| 2.439 | 97 | 1 1 3 |
| 3.762 | 67 | 0 1 1 |
| 2.391 | 58 | 1 0 4 |
| 3.535 | 54 | 2 0 0 |
| 1.746 | 31 | 3 1 3 |
| 1.545 | 29 | 1 2 4 |
| 2.025 | 27 | 0 2 0 |
| 1.758 | 26 | 2 2 0 |
| 4.127 | 21 | 1 0 2 |